Entry 1:
This entry pairs a crystal structure of SrCa2N2 with its computed powder diffractogram. Radiation: Cu Kα (weighted mean of Kα1 and Kα2). Structure: a structure optimized by DFT (PBE).
Neutral-atom scattering factors, no anomalous dispersion.

Structure:
Cell: 3.7741 14.4590 3.4933 Å, 90.00 90.00 90.00°
Space group Pmmn (No. 59, origin choice 2)
Inequivalent atoms, fractional coordinates:
Sr  0.2500  0.2500  0.0364 (multiplicity 2)
Ca  0.2500  0.5683  0.7362 (multiplicity 4)
N  0.2500  0.1012  0.6920 (multiplicity 4)

Peak list (8 most intense, 15 to 90 degrees two-theta, most intense first)
2theta  d [Å]  Rel. int.  h k l
30.07  2.971  100  1 3 0
28.38  3.145  50  0 2 1
37.31  2.410  44  0 6 0
35.56  2.524  43  1 1 1
24.37  3.652  41  1 1 0
37.21  2.416  37  1 2 1
39.83  2.263  35  1 3 1
35.74  2.512  28  0 4 1

Entry 2:
This entry pairs a crystal structure of Sr2CaN2 with its computed powder diffractogram. Radiation: Cu Kα (weighted mean of Kα1 and Kα2). Structure: a structure optimized by DFT (PBE).
Neutral-atom scattering factors, no anomalous dispersion.

Structure:
Cell: 4.4391 13.4575 18.6784 Å, 90.00 90.00 90.00°
Space group Cmce (No. 64)
Inequivalent atoms, fractional coordinates:
Sr  0.0000  0.0284  0.1418 (multiplicity 8)
Sr  0.0000  0.1426  0.4838 (multiplicity 8)
Ca  0.0000  0.1949  0.6584 (multiplicity 8)
N  0.0000  0.0451  0.6077 (multiplicity 8)
N  0.0000  0.1894  0.0759 (multiplicity 8)

Peak list (8 most intense, 15 to 90 degrees two-theta, most intense first)
2theta  d [Å]  Rel. int.  h k l
28.69  3.112  100  0 0 6
25.52  3.491  74  1 1 3
23.17  3.839  49  0 2 4
44.47  2.037  42  1 3 7
32.81  2.730  35  0 4 4
40.66  2.219  34  2 0 0
35.90  2.502  29  0 4 5
28.19  3.165  21  0 4 2